This entry pairs a crystal structure of Ce3Zr with its theoretical PXRD pattern. Radiation: Cu Kα (λ = 1.5418 Å). Structure: a DFT-relaxed cell (PBE, Alexandria).
Intensities are scaled so that the largest is 100.

Atomic structure:
abc: 6.488 9.883 3.235
angles: 90.00 90.00 90.00
Space group Cmmm (No. 65)
Asymmetric unit:
1 Ce 0.000 0.000 0.000 [2 per cell]
2 Ce 0.250 0.250 0.500 [4 per cell]
3 Zr 0.000 0.500 0.000 [2 per cell]

Peak list (10 most intense, 2θ = 15–90°, by intensity)
Position (°2θ), I_rel
33.06, 100
39.33, 31
54.63, 24
36.36, 19
63.34, 15
67.29, 13
67.41, 12
69.30, 6
69.44, 6
56.75, 5